Entry 1:
Diffraction record for PrPb2. The XRD peak list is simulated, not measured: it uses DFT lattice parameters and positions (PBE) and Cu Ka.
Intensities are scaled so that the largest is 100.

Lattice parameters (Å, degrees): 4.8086 4.8086 31.6489 90.00 90.00 90.00
Space group I4_1/amd (No. 141, origin choice 2)
One atom of each set of equivalent atoms:
Pr 0.0000 0.2500 0.3010 x8
Pb 0.0000 0.2500 0.1250 x8
Pb 0.0000 0.2500 0.7878 x8

Peak list (6 most intense, 10 to 90 degrees two-theta, by angle)
2θ (°)	I/Imax	index
31.3	100	1 1 6
34.0	18	0 0 12
37.4	33	2 0 0
51.4	23	2 0 12
59.2	12	1 1 18
63.7	27	3 1 6



Entry 2:
Diffraction record for CsLa2CuSe4. The XRD peak list is simulated, not measured: it uses DFT lattice parameters and positions (PBE) and Cu Ka.
Intensities are scaled so that the largest is 100.

Lattice parameters (Å, degrees): 4.3444 15.1787 14.8907 90.00 90.00 90.00
Space group Cmcm (No. 63)
One atom of each set of equivalent atoms:
Cs 0.0000 0.1054 0.2500 x4
La 0.0000 0.3654 0.0610 x8
Cu 0.0000 0.1654 0.7500 x4
Se 0.0000 0.0000 0.0000 x4
Se 0.0000 0.2590 0.6120 x8
Se 0.0000 0.4205 0.2500 x4

Peak list (6 most intense, 10 to 90 degrees two-theta, by angle)
2θ (°)	I/Imax	index
21.4	39	0 2 3
27.7	100	1 3 1
29.6	92	1 3 2
37.1	34	1 1 5
40.6	54	1 5 3
41.6	41	2 0 0